Structure and simulated powder XRD pattern of Ho7Pd3 (a GGA-PBE-relaxed structure; Cu Kα, 1.54184 Å).
Intensities are scaled so that the largest is 100.

Top 10 peaks for 10 to 90 degrees two-theta, by angle:
2.932 Å, 2θ = 30.5°, I 43, hkl 1 0 2
2.868 Å, 2θ = 31.2°, I 100, hkl 2 1 1
2.591 Å, 2θ = 34.6°, I 55, hkl 3 0 1
2.520 Å, 2θ = 35.6°, I 46, hkl 2 0 2
2.466 Å, 2θ = 36.4°, I 37, hkl 2 2 0
1.870 Å, 2θ = 48.7°, I 21, hkl 2 0 3
1.680 Å, 2θ = 54.6°, I 24, hkl 3 0 3
1.660 Å, 2θ = 55.4°, I 22, hkl 3 2 2
1.648 Å, 2θ = 55.8°, I 23, hkl 5 0 1
1.164 Å, 2θ = 82.9°, I 21, hkl 6 2 1

Crystal structure
Cell lengths 9.8639, 9.8639, 6.2436 Å; angles 90.00, 90.00, 120.00 degrees
Space group P6_3mc (No. 186)
Asymmetric unit:
Ho 0.0796 0.5398 0.0000 [6 per cell]
Ho 0.1256 0.2512 0.6987 [6 per cell]
Ho 0.3333 0.6667 0.5074 [2 per cell]
Pd 0.1903 0.3806 0.2643 [6 per cell]

Structure and simulated powder XRD pattern of Tb3Sn4Au3 (a GGA-PBE-relaxed structure; Cu Kα, 1.54184 Å).
Intensities are scaled so that the largest is 100.

Top 10 peaks for 10 to 90 degrees two-theta, by angle:
4.069 Å, 2θ = 21.8°, I 23, hkl 2 1 1
3.524 Å, 2θ = 25.3°, I 11, hkl 2 2 0
2.664 Å, 2θ = 33.6°, I 100, hkl 3 2 1
2.229 Å, 2θ = 40.5°, I 49, hkl 4 2 0
2.034 Å, 2θ = 44.5°, I 14, hkl 4 2 2
1.955 Å, 2θ = 46.5°, I 12, hkl 5 1 0
1.820 Å, 2θ = 50.1°, I 16, hkl 5 2 1
1.576 Å, 2θ = 58.6°, I 11, hkl 6 2 0
1.439 Å, 2θ = 64.8°, I 12, hkl 4 4 4
1.356 Å, 2θ = 69.3°, I 13, hkl 5 5 2

Crystal structure
Cell lengths 9.967, 9.967, 9.967 Å; angles 90.00, 90.00, 90.00 degrees
Space group I-43d (No. 220)
Asymmetric unit:
Tb 0.000 0.250 0.875 [12 per cell]
Sn 0.088 0.412 0.588 [16 per cell]
Au 0.000 0.250 0.375 [12 per cell]

Structure and simulated powder XRD pattern of PrYFe (a GGA-PBE-relaxed structure; Cu Kα, 1.54184 Å).
Intensities are scaled so that the largest is 100.

Top 10 peaks for 10 to 90 degrees two-theta, by angle:
3.194 Å, 2θ = 27.9°, I 37, hkl 1 3 1
3.172 Å, 2θ = 28.1°, I 90, hkl 1 1 2
3.065 Å, 2θ = 29.1°, I 72, hkl 2 2 0
2.832 Å, 2θ = 31.6°, I 100, hkl 0 4 1
2.560 Å, 2θ = 35.1°, I 76, hkl 2 0 2
2.362 Å, 2θ = 38.1°, I 24, hkl 2 2 2
2.292 Å, 2θ = 39.3°, I 34, hkl 0 2 3
2.211 Å, 2θ = 40.8°, I 52, hkl 1 5 1
1.721 Å, 2θ = 53.2°, I 27, hkl 2 6 1
1.690 Å, 2θ = 54.3°, I 26, hkl 2 4 3

Crystal structure
Cell lengths 7.079, 12.258, 7.415 Å; angles 90.00, 90.00, 90.00 degrees
Space group Cmce (No. 64)
Asymmetric unit:
Pr 0.000 0.199 0.113 [8 per cell]
Y 0.250 0.041 0.750 [8 per cell]
Fe 0.000 0.089 0.459 [8 per cell]

Structure and simulated powder XRD pattern of Ag4GeAu3 (a GGA-PBE-relaxed structure; Cu Kα, 1.54184 Å).
Intensities are scaled so that the largest is 100.

Top 10 peaks for 10 to 90 degrees two-theta, by angle:
4.471 Å, 2θ = 19.9°, I 12, hkl 1 1 0
3.168 Å, 2θ = 28.2°, I 6, hkl 4 0 -1
2.391 Å, 2θ = 37.6°, I 55, hkl 0 2 0
2.312 Å, 2θ = 39.0°, I 100, hkl 3 1 1
1.691 Å, 2θ = 54.2°, I 19, hkl 2 2 -2
1.584 Å, 2θ = 58.2°, I 8, hkl 8 0 0
1.367 Å, 2θ = 68.7°, I 9, hkl 1 1 3
1.364 Å, 2θ = 68.8°, I 27, hkl 3 3 1
1.320 Å, 2θ = 71.5°, I 13, hkl 8 2 0
1.157 Å, 2θ = 83.6°, I 6, hkl 6 2 2

Crystal structure
Cell lengths 13.539, 4.778, 4.787 Å; angles 90.00, 110.59, 90.00 degrees
Space group C2/m (No. 12)
Asymmetric unit:
Ag 0.123 0.000 0.124 [4 per cell]
Ag 0.249 0.500 0.248 [4 per cell]
Ge 0.000 0.000 0.500 [2 per cell]
Au 0.000 0.500 0.000 [2 per cell]
Au 0.124 0.500 0.624 [4 per cell]

Structure and simulated powder XRD pattern of K4Cd3 (a GGA-PBE-relaxed structure; Cu Kα, 1.54184 Å).
Intensities are scaled so that the largest is 100.

Top 10 peaks for 10 to 90 degrees two-theta, by angle:
7.278 Å, 2θ = 12.2°, I 82, hkl 0 0 1
3.639 Å, 2θ = 24.5°, I 28, hkl 0 0 2
3.088 Å, 2θ = 28.9°, I 52, hkl 1 0 2
3.058 Å, 2θ = 29.2°, I 32, hkl 1 1 1
2.918 Å, 2θ = 30.6°, I 59, hkl 2 0 0
2.709 Å, 2θ = 33.1°, I 100, hkl 2 0 1
2.277 Å, 2θ = 39.6°, I 20, hkl 2 0 2
1.886 Å, 2θ = 48.2°, I 23, hkl 2 1 2
1.866 Å, 2θ = 48.8°, I 27, hkl 2 0 3
1.685 Å, 2θ = 54.5°, I 18, hkl 2 2 0

Crystal structure
Cell lengths 6.7394, 6.7394, 7.2785 Å; angles 90.00, 90.00, 120.00 degrees
Space group P6/mmm (No. 191)
Asymmetric unit:
K 0.0000 0.0000 0.2332 [2 per cell]
K 0.3333 0.6667 0.5000 [2 per cell]
Cd 0.0000 0.5000 0.0000 [3 per cell]

Structure and simulated powder XRD pattern of K2NaLi (a GGA-PBE-relaxed structure; Cu Kα, 1.54184 Å).
Intensities are scaled so that the largest is 100.

Top 10 peaks for 10 to 90 degrees two-theta, by angle:
5.331 Å, 2θ = 16.6°, I 6, hkl 1 1 1
4.617 Å, 2θ = 19.2°, I 28, hkl 2 0 0
3.265 Å, 2θ = 27.3°, I 100, hkl 2 2 0
2.666 Å, 2θ = 33.6°, I 8, hkl 2 2 2
2.308 Å, 2θ = 39.0°, I 18, hkl 4 0 0
2.065 Å, 2θ = 43.8°, I 10, hkl 4 2 0
1.885 Å, 2θ = 48.3°, I 36, hkl 4 2 2
1.632 Å, 2θ = 56.4°, I 11, hkl 4 4 0
1.460 Å, 2θ = 63.7°, I 14, hkl 6 2 0
1.234 Å, 2θ = 77.3°, I 15, hkl 6 4 2

Crystal structure
Cell lengths 9.234, 9.234, 9.234 Å; angles 90.00, 90.00, 90.00 degrees
Space group Fm-3m (No. 225)
Asymmetric unit:
K 0.250 0.250 0.250 [8 per cell]
Na 0.000 0.000 0.000 [4 per cell]
Li 0.000 0.000 0.500 [4 per cell]